Starting from a structure optimized by DFT (GGA-PBE), the X-ray diffraction stick pattern of MgGa2CuO was simulated for Cu Ka.
No peak broadening, texture or thermal motion is included.

The 6 most intense peaks (2θ = 5–70°), most intense first:
| two_theta | d (Å) | I (rel.) |
| --- | --- | --- |
| 34.71 | 2.585 | 100 |
| 25.41 | 3.505 | 50 |
| 43.50 | 2.080 | 48 |
| 35.48 | 2.530 | 40 |
| 49.90 | 1.828 | 34 |
| 17.15 | 5.169 | 32 |

Crystal structure
a b c (Å): 5.1693 5.1693 3.5051
angles (deg): 90.00 90.00 90.00
Fractional coordinates of all 5 atoms:
1 Mg 0.0000 0.0000 0.0000
2 Ga 0.0000 0.5000 0.5000
3 Ga 0.5000 0.0000 0.5000
4 Cu 0.5000 0.5000 0.5000
5 O 0.5000 0.5000 0.0000

Starting from a structure optimized by DFT (GGA-PBE), the X-ray diffraction stick pattern of CsErCuS2 was simulated for Cu Ka.
No peak broadening, texture or thermal motion is included.

The 6 most intense peaks (2θ = 5–70°), most intense first:
| two_theta | d (Å) | I (rel.) |
| --- | --- | --- |
| 22.40 | 3.970 | 100 |
| 11.14 | 7.940 | 79 |
| 30.63 | 2.919 | 75 |
| 33.45 | 2.679 | 71 |
| 21.89 | 4.060 | 62 |
| 25.68 | 3.469 | 52 |

Crystal structure
a b c (Å): 8.0536 4.7236 7.7998
angles (deg): 90.00 99.65 90.00
Fractional coordinates of all 10 atoms:
1 Cs 0.0000 0.1719 0.2500
2 Cs 0.0000 0.8281 0.7500
3 Er 0.5000 0.4947 0.7500
4 Er 0.5000 0.5053 0.2500
5 Cu 0.5000 0.0000 0.0000
6 Cu 0.5000 0.0000 0.5000
7 S 0.2929 0.3228 0.9654
8 S 0.2929 0.6772 0.4654
9 S 0.7071 0.3228 0.5346
10 S 0.7071 0.6772 0.0346

Starting from a structure optimized by DFT (GGA-PBE), the X-ray diffraction stick pattern of SrMgBe2F8 was simulated for Cu Ka.
No peak broadening, texture or thermal motion is included.

The 6 most intense peaks (2θ = 5–70°), most intense first:
| two_theta | d (Å) | I (rel.) |
| --- | --- | --- |
| 19.99 | 4.442 | 100 |
| 42.09 | 2.147 | 74 |
| 23.72 | 3.751 | 69 |
| 21.96 | 4.047 | 61 |
| 31.36 | 2.853 | 53 |
| 32.17 | 2.783 | 49 |

Crystal structure
a b c (Å): 4.8451 4.8451 7.2938
angles (deg): 92.21 92.21 66.51
Fractional coordinates of all 12 atoms:
1 Sr 0.0000 0.0000 0.0000
2 Mg 0.0000 0.0000 0.5000
3 Be 0.3655 0.3655 0.7217
4 Be 0.6345 0.6345 0.2783
5 F 0.2288 0.7205 0.7081
6 F 0.2343 0.2343 0.5657
7 F 0.2795 0.7712 0.2919
8 F 0.2978 0.2978 0.9195
9 F 0.7022 0.7022 0.0805
10 F 0.7205 0.2288 0.7081
11 F 0.7657 0.7657 0.4343
12 F 0.7712 0.2795 0.2919

Starting from a structure optimized by DFT (GGA-PBE), the X-ray diffraction stick pattern of CaCl3 was simulated for Cu Ka.
No peak broadening, texture or thermal motion is included.

The 6 most intense peaks (2θ = 5–70°), most intense first:
| two_theta | d (Å) | I (rel.) |
| --- | --- | --- |
| 28.21 | 3.163 | 100 |
| 8.90 | 9.932 | 64 |
| 36.77 | 2.444 | 46 |
| 41.01 | 2.201 | 40 |
| 44.15 | 2.051 | 32 |
| 43.07 | 2.100 | 23 |

Crystal structure
a b c (Å): 5.2604 4.1030 10.0192
angles (deg): 90.00 97.57 90.00
Fractional coordinates of all 8 atoms:
1 Ca 0.2100 0.2500 0.3412
2 Ca 0.7900 0.7500 0.6588
3 Cl 0.0796 0.2500 0.8133
4 Cl 0.2596 0.7500 0.5382
5 Cl 0.4219 0.7500 0.1868
6 Cl 0.5781 0.2500 0.8132
7 Cl 0.7404 0.2500 0.4618
8 Cl 0.9204 0.7500 0.1867

Starting from a structure optimized by DFT (GGA-PBE), the X-ray diffraction stick pattern of NaZrBe2 was simulated for Cu Ka.
No peak broadening, texture or thermal motion is included.

The 6 most intense peaks (2θ = 5–70°), most intense first:
| two_theta | d (Å) | I (rel.) |
| --- | --- | --- |
| 40.15 | 2.246 | 100 |
| 28.10 | 3.176 | 87 |
| 24.27 | 3.667 | 73 |
| 47.47 | 1.915 | 35 |
| 65.75 | 1.420 | 29 |
| 49.73 | 1.834 | 24 |

Crystal structure
a b c (Å): 4.4914 4.4914 4.4914
angles (deg): 60.00 60.00 60.00
Fractional coordinates of all 4 atoms:
1 Na 0.0000 0.0000 0.0000
2 Zr 0.5000 0.5000 0.5000
3 Be 0.2500 0.2500 0.2500
4 Be 0.7500 0.7500 0.7500

Starting from a structure optimized by DFT (GGA-PBE), the X-ray diffraction stick pattern of Tb5Dy4Y2 was simulated for Cu Ka.
No peak broadening, texture or thermal motion is included.

The 6 most intense peaks (2θ = 5–70°), most intense first:
| two_theta | d (Å) | I (rel.) |
| --- | --- | --- |
| 30.80 | 2.903 | 100 |
| 35.75 | 2.512 | 34 |
| 61.18 | 1.515 | 28 |
| 51.35 | 1.779 | 18 |
| 51.43 | 1.777 | 18 |
| 35.62 | 2.520 | 17 |

Crystal structure
a b c (Å): 3.5506 8.7136 11.7962
angles (deg): 75.92 81.40 89.99
Fractional coordinates of all 11 atoms:
1 Tb 0.0000 0.0000 0.0000
2 Tb 0.2725 0.1815 0.4553
3 Tb 0.3638 0.9075 0.2728
4 Tb 0.6362 0.0925 0.7272
5 Tb 0.7275 0.8185 0.5447
6 Dy 0.1820 0.4553 0.6361
7 Dy 0.4540 0.6367 0.0914
8 Dy 0.5460 0.3633 0.9086
9 Dy 0.8180 0.5447 0.3639
10 Y 0.0904 0.7266 0.8185
11 Y 0.9096 0.2734 0.1815

Starting from a structure optimized by DFT (GGA-PBE), the X-ray diffraction stick pattern of BaSrNdTlCu2O7 was simulated for Cu Ka.
No peak broadening, texture or thermal motion is included.

The 6 most intense peaks (2θ = 5–70°), most intense first:
| two_theta | d (Å) | I (rel.) |
| --- | --- | --- |
| 32.42 | 2.762 | 100 |
| 31.41 | 2.848 | 80 |
| 31.25 | 2.862 | 80 |
| 57.29 | 1.608 | 29 |
| 57.00 | 1.616 | 28 |
| 43.66 | 2.073 | 26 |

Crystal structure
a b c (Å): 3.9230 3.8883 12.5527
angles (deg): 90.00 90.13 90.00
Fractional coordinates of all 13 atoms:
1 Ba 0.0000 0.0000 0.0000
2 Sr 0.9979 0.0000 0.5893
3 Nd 0.0018 0.0000 0.3022
4 Tl 0.4391 0.5000 0.7894
5 Cu 0.5009 0.5000 0.1661
6 Cu 0.5033 0.5000 0.4432
7 O 0.0011 0.5000 0.1796
8 O 0.0036 0.5000 0.4266
9 O 0.0975 0.0000 0.7850
10 O 0.5002 0.0000 0.1809
11 O 0.5018 0.0000 0.4247
12 O 0.5128 0.5000 0.9587
13 O 0.5366 0.5000 0.6219

Starting from a structure optimized by DFT (GGA-PBE), the X-ray diffraction stick pattern of BaHf2Cd2O7 was simulated for Cu Ka.
No peak broadening, texture or thermal motion is included.

The 6 most intense peaks (2θ = 5–70°), most intense first:
| two_theta | d (Å) | I (rel.) |
| --- | --- | --- |
| 30.68 | 2.914 | 100 |
| 31.09 | 2.877 | 93 |
| 25.52 | 3.491 | 65 |
| 41.14 | 2.194 | 44 |
| 54.37 | 1.687 | 41 |
| 43.74 | 2.070 | 37 |

Crystal structure
a b c (Å): 10.2004 10.2004 10.2004
angles (deg): 156.59 34.40 155.16
Fractional coordinates of all 12 atoms:
1 Ba 0.0000 0.0000 0.0000
2 Hf 0.3952 0.0000 0.3952
3 Hf 0.6049 0.0000 0.6048
4 Cd 0.2253 0.4989 0.7264
5 Cd 0.7725 0.4989 0.2736
6 O 0.1043 0.4981 0.6062
7 O 0.2814 0.9987 0.2826
8 O 0.3952 0.4980 0.8972
9 O 0.4985 0.9985 0.5000
10 O 0.6008 0.4980 0.1028
11 O 0.7161 0.9987 0.7174
12 O 0.8919 0.4981 0.3938